Calculated powder diffraction line list
Compound: Li6V2C4SO16
Radiation: CuKα
Structure: a DFT-relaxed cell (PBE+U, Alexandria)
Intensities are scaled so that the largest is 100.

Structure:
Cell: 13.3533 13.3533 13.3533 Å, 90.00 90.00 90.00°
Space group Fd-3 (No. 203, origin choice 2)
Symmetry-distinct sites (fractional):
Li 0.0904 0.3750 0.3750
V 0.0000 0.0000 0.5000
C 0.0243 0.0243 0.7257
S 0.1250 0.1250 0.1250
O 0.0207 0.2930 0.5945
O 0.0604 0.0604 0.0604

Most intense lines, 2θ from 15° to 90°, sorted by position:
2θ 18.80, intensity 14, hkl 2 2 0
2θ 22.08, intensity 100, hkl 3 1 1
2θ 26.70, intensity 32, hkl 4 0 0
2θ 29.15, intensity 13, hkl 3 3 1
2θ 34.91, intensity 41, hkl 5 1 1
2θ 38.12, intensity 33, hkl 4 4 0
2θ 39.94, intensity 41, hkl 5 3 1
2θ 45.03, intensity 15, hkl 6 2 2
2θ 52.65, intensity 15, hkl 5 5 3
2θ 60.00, intensity 26, hkl 5 5 5